For K2Hg3S4, a cell relaxed with GGA-PBE gives the simulated powder XRD pattern in this record (Cu Kα (λ = 1.5418 Å)).
Lines closer than 0.1° are merged.

Structural model:
Cell lengths 10.8210, 6.6910, 13.9516 Å; angles 90.00, 90.00, 90.00 degrees
Space group Pbcn (No. 60)
Unique sites:
K1 0.1211 0.2341 0.0018 x8
Hg1 0.0000 0.4160 0.7500 x4
Hg2 0.1583 0.0859 0.2584 x8
S1 0.1291 0.3614 0.3675 x8
S2 0.1329 0.1740 0.6415 x8

Largest 10 diffraction maxima, by intensity, 2θ = 10–90°:
2θ (°), I/Imax, (hkl)
12.7, 100, 0 0 2
30.9, 47, 3 1 2
28.1, 30, 3 1 0
38.3, 28, 3 1 4
33.0, 27, 0 2 3
27.4, 23, 0 2 1
25.5, 22, 0 0 4
48.4, 21, 3 3 1
28.8, 19, 3 1 1
42.2, 15, 0 2 5